(1)
PrY2Er6: calculated powder X-ray diffraction pattern (Cu Ka), based on a crystal structure in Alexandria, relaxed with GGA-PBE.
No peak broadening, texture or thermal motion is included.

The 10 most intense peaks (2θ from 10° to 90°), sorted by position:
d [Å]  I_rel
7.695  44
5.787  22
3.848  20
3.149  26
2.964  82
2.654  100
2.565  34
2.509  96
1.726  40
1.432  32

Cell and atoms:
```
PrY2Er6
1.0
3.4512 1.9926 7.6952
-3.4512 1.9926 7.6952
0.0000 -3.9851 7.6952
Pr Y Er
1 2 6
Direct
0.0000 0.0000 0.0000
0.2471 0.2471 0.2471
0.4120 0.4120 0.4120
0.2257 0.7192 0.7192
0.4379 0.9472 0.9472
0.7192 0.2257 0.7192
0.7192 0.7192 0.2257
0.9472 0.4379 0.9472
0.9472 0.9472 0.4379
```

(2)
Pm3Y2Tl: calculated powder X-ray diffraction pattern (Cu Ka), based on a crystal structure in Alexandria, relaxed with GGA-PBE.
No peak broadening, texture or thermal motion is included.

The 10 most intense peaks (2θ from 10° to 90°), sorted by position:
d [Å]  I_rel
2.902  29
2.883  62
2.762  49
2.741  100
2.574  14
2.552  44
1.818  17
1.591  15
1.518  17
1.512  25

Cell and atoms:
```
Pm3Y2Tl
1.0
6.5677 0.0000 0.0000
2.5689 6.0728 0.0000
0.0379 0.1066 9.5374
Pm Y Tl
6 4 2
Direct
0.0028 0.2486 0.2582
0.2584 0.5202 0.0583
0.4974 0.7482 0.6033
0.5026 0.2518 0.3967
0.7416 0.4798 0.9417
0.9972 0.7514 0.7418
0.0005 0.2515 0.6153
0.2555 0.0198 0.9386
0.7445 0.9802 0.0614
0.9995 0.7485 0.3847
0.4991 0.7546 0.2622
0.5009 0.2454 0.7378
```

(3)
BaSr2Ni: calculated powder X-ray diffraction pattern (Cu Ka), based on a crystal structure in Alexandria, relaxed with GGA-PBE.
No peak broadening, texture or thermal motion is included.

The 10 most intense peaks (2θ from 10° to 90°), sorted by position:
d [Å]  I_rel
6.517  9
6.277  12
3.578  16
3.333  100
2.594  34
2.180  10
2.172  20
2.015  23
1.857  10
1.823  11

Cell and atoms:
```
BaSr2Ni
1.0
7.5168 0.0000 0.0000
0.0000 7.1551 0.0000
-7.5052 0.0000 13.0774
Ba Sr Ni
4 8 4
Direct
0.1663 0.2491 0.2503
0.1663 0.2509 0.7503
0.8337 0.7491 0.2497
0.8337 0.7509 0.7497
0.1523 0.7337 0.5752
0.1523 0.7663 0.0752
0.4984 0.2328 0.0757
0.4984 0.2672 0.5757
0.5016 0.7328 0.4243
0.5016 0.7672 0.9243
0.8477 0.2337 0.9248
0.8477 0.2663 0.4248
0.1634 0.0002 0.9134
0.1634 0.4998 0.4134
0.8366 0.9998 0.0866
0.8366 0.5002 0.5866
```

(4)
AlAgHg: calculated powder X-ray diffraction pattern (Cu Ka), based on a crystal structure in Alexandria, relaxed with GGA-PBE.
No peak broadening, texture or thermal motion is included.

The 10 most intense peaks (2θ from 10° to 90°), sorted by position:
d [Å]  I_rel
6.801  43
3.401  18
2.799  33
2.524  29
2.419  100
2.267  20
1.687  16
1.607  11
1.436  19
1.336  14

Cell and atoms:
```
AlAgHg
1.0
0.0000 2.5244 6.8011
1.7350 0.0000 6.8011
1.7350 2.5244 0.0000
Al Ag Hg
1 1 1
Direct
0.0000 0.0000 0.0000
0.6499 0.6499 0.3501
0.3287 0.3287 0.6713
```

(5)
Tm2Zn5PdRu2: calculated powder X-ray diffraction pattern (Cu Ka), based on a crystal structure in Alexandria, relaxed with GGA-PBE.
No peak broadening, texture or thermal motion is included.

The 10 most intense peaks (2θ from 10° to 90°), sorted by position:
d [Å]  I_rel
3.871  14
2.986  22
2.852  14
2.526  21
2.362  100
2.287  33
2.223  20
2.167  25
1.936  24
1.478  16

Cell and atoms:
```
Tm2Zn5PdRu2
1.0
9.4309 0.0000 0.0000
0.0000 9.4309 0.0000
0.0000 0.0000 3.8711
Tm Zn Pd Ru
4 10 2 4
Direct
0.1736 0.3264 0.0000
0.3264 0.8264 0.0000
0.6736 0.1736 0.0000
0.8264 0.6736 0.0000
0.0000 0.5000 0.5000
0.0578 0.8040 0.5000
0.1960 0.0578 0.5000
0.3040 0.5578 0.5000
0.4422 0.3040 0.5000
0.5000 0.0000 0.5000
0.5578 0.6960 0.5000
0.6960 0.4422 0.5000
0.8040 0.9422 0.5000
0.9422 0.1960 0.5000
0.0000 0.0000 0.0000
0.5000 0.5000 0.0000
0.1272 0.6272 0.0000
0.3728 0.1272 0.0000
0.6272 0.8728 0.0000
0.8728 0.3728 0.0000
```